HfP2Se6: calculated X-ray powder pattern (Cu Kα (λ = 1.5418 Å)), based on the GGA-PBE geometry in OQMD.
Intensities are scaled so that the largest is 100.

Peak list (10 most intense, 10 to 90 degrees two-theta, low angle first)
2theta  I (rel.)
11.7  55
16.0  57
17.4  37
22.1  12
23.6  17
29.6  100
36.2  48
37.2  12
45.4  28
47.8  26

a b c (Å): 8.4513 8.4513 8.4513
angles (deg): 45.91 45.91 45.91
Fractional coordinates of all 9 atoms:
1 Hf 0.0000 0.0000 0.0000
2 P 0.6175 0.6175 0.6175
3 P 0.7161 0.7161 0.7161
4 Se 0.0388 0.7967 0.3996
5 Se 0.2436 0.6394 0.8827
6 Se 0.3996 0.0388 0.7967
7 Se 0.6394 0.8827 0.2436
8 Se 0.7967 0.3996 0.0388
9 Se 0.8827 0.2436 0.6394



Hf5ZnP3: calculated X-ray powder pattern (Cu Kα (λ = 1.5418 Å)), based on the GGA-PBE geometry in OQMD.
Intensities are scaled so that the largest is 100.

Peak list (10 most intense, 10 to 90 degrees two-theta, low angle first)
2theta  I (rel.)
25.7  15
27.6  62
38.1  37
39.1  82
39.9  100
57.1  31
63.6  13
71.3  21
79.0  14
81.8  19

a b c (Å): 7.9903 7.9903 5.4772
angles (deg): 90.00 90.00 120.00
Fractional coordinates of all 18 atoms:
1 Hf 0.0000 0.2819 0.2500
2 Hf 0.0000 0.7181 0.7500
3 Hf 0.2819 0.0000 0.2500
4 Hf 0.2819 0.2819 0.7500
5 Hf 0.3333 0.6667 0.0000
6 Hf 0.3333 0.6667 0.5000
7 Hf 0.6667 0.3333 0.0000
8 Hf 0.6667 0.3333 0.5000
9 Hf 0.7181 0.0000 0.7500
10 Hf 0.7181 0.7181 0.2500
11 Zn 0.0000 0.0000 0.0000
12 Zn 0.0000 0.0000 0.5000
13 P 0.0000 0.3822 0.7500
14 P 0.0000 0.6178 0.2500
15 P 0.3822 0.0000 0.7500
16 P 0.3822 0.3822 0.2500
17 P 0.6178 0.0000 0.2500
18 P 0.6178 0.6178 0.7500



HfZr3P4: calculated X-ray powder pattern (Cu Kα (λ = 1.5418 Å)), based on the GGA-PBE geometry in OQMD.
Intensities are scaled so that the largest is 100.

Peak list (10 most intense, 10 to 90 degrees two-theta, low angle first)
2theta  I (rel.)
27.9  28
28.4  21
28.8  57
35.3  100
40.3  33
46.0  21
49.3  44
57.9  18
62.1  19
80.3  18

a b c (Å): 3.6947 3.6947 12.5501
angles (deg): 90.00 90.00 120.00
Fractional coordinates of all 8 atoms:
1 Hf 0.0000 0.0000 0.0000
2 Zr 0.0000 0.0000 0.2667
3 Zr 0.3333 0.6667 0.4990
4 Zr 0.3333 0.6667 0.7683
5 P 0.0000 0.0000 0.6337
6 P 0.3333 0.6667 0.1303
7 P 0.6667 0.3333 0.3830
8 P 0.6667 0.3333 0.8861



Hf3ZrP4: calculated X-ray powder pattern (Cu Kα (λ = 1.5418 Å)), based on the GGA-PBE geometry in OQMD.
Intensities are scaled so that the largest is 100.

Peak list (10 most intense, 10 to 90 degrees two-theta, low angle first)
2theta  I (rel.)
28.1  32
28.7  28
29.0  68
35.6  100
40.5  33
46.3  20
49.6  44
58.3  24
59.5  19
62.5  19

a b c (Å): 3.6726 3.6726 12.4564
angles (deg): 90.00 90.00 120.00
Fractional coordinates of all 8 atoms:
1 Hf 0.0000 0.0000 0.0000
2 Hf 0.0000 0.0000 0.2662
3 Hf 0.3333 0.6667 0.4979
4 Zr 0.3333 0.6667 0.7672
5 P 0.0000 0.0000 0.6296
6 P 0.3333 0.6667 0.1333
7 P 0.6667 0.3333 0.3821
8 P 0.6667 0.3333 0.8857



Hf2PdPb3: calculated X-ray powder pattern (Cu Kα (λ = 1.5418 Å)), based on the GGA-PBE geometry in OQMD.
Intensities are scaled so that the largest is 100.

Peak list (10 most intense, 10 to 90 degrees two-theta, low angle first)
2theta  I (rel.)
29.8  13
35.1  100
35.5  58
51.1  21
55.5  8
62.8  11
63.5  37
74.3  13
85.7  8
85.9  10

a b c (Å): 3.5765 3.5765 10.9392
angles (deg): 90.00 90.00 90.00
Fractional coordinates of all 6 atoms:
1 Hf 0.0000 0.0000 0.0000
2 Hf 0.5000 0.5000 0.4505
3 Pd 0.0000 0.0000 0.3317
4 Pb 0.0000 0.0000 0.6255
5 Pb 0.5000 0.5000 0.1703
6 Pb 0.5000 0.5000 0.8320



HfZrPd2Pb2: calculated X-ray powder pattern (Cu Kα (λ = 1.5418 Å)), based on the GGA-PBE geometry in OQMD.
Intensities are scaled so that the largest is 100.

Peak list (10 most intense, 10 to 90 degrees two-theta, low angle first)
2theta  I (rel.)
23.9  20
27.6  34
39.5  100
46.6  10
48.8  10
57.0  17
62.7  4
64.5  13
71.6  35
84.9  11

a b c (Å): 9.1356 4.5674 13.7043
angles (deg): 90.00 109.47 90.00
Fractional coordinates of all 24 atoms:
1 Hf 0.0000 0.0000 0.0000
2 Hf 0.1252 0.5000 0.7503
3 Hf 0.2500 0.0000 0.5003
4 Hf 0.4998 0.0000 0.0001
5 Zr 0.3749 0.5000 0.2501
6 Zr 0.6250 0.5000 0.7504
7 Zr 0.7501 0.0000 0.5004
8 Zr 0.8749 0.5000 0.2500
9 Pd 0.0617 0.5000 0.1232
10 Pd 0.1875 0.0000 0.8749
11 Pd 0.3102 0.5000 0.6246
12 Pd 0.4359 0.0000 0.3762
13 Pd 0.5614 0.5000 0.1234
14 Pd 0.6882 0.0000 0.8770
15 Pd 0.8153 0.5000 0.6266
16 Pd 0.9400 0.0000 0.3760
17 Pb 0.9999 0.5000 0.5002
18 Pb 0.1246 0.0000 0.2494
19 Pb 0.2496 0.5000 0.9994
20 Pb 0.3751 0.0000 0.7502
21 Pb 0.5005 0.5000 0.5011
22 Pb 0.6250 0.0000 0.2503
23 Pb 0.7500 0.5000 0.0002
24 Pb 0.8753 0.0000 0.7510



Hf2Pt3Pb: calculated X-ray powder pattern (Cu Kα (λ = 1.5418 Å)), based on the GGA-PBE geometry in OQMD.
Intensities are scaled so that the largest is 100.

Peak list (10 most intense, 10 to 90 degrees two-theta, low angle first)
2theta  I (rel.)
36.1  73
38.7  100
46.9  11
52.0  26
66.7  42
71.8  9
76.6  8
83.1  6
87.7  12
89.3  11

a b c (Å): 3.5195 3.5195 9.2852
angles (deg): 90.00 90.00 90.00
Fractional coordinates of all 6 atoms:
1 Hf 0.0000 0.0000 0.0000
2 Hf 0.5000 0.5000 0.4331
3 Pt 0.0000 0.0000 0.3081
4 Pt 0.5000 0.5000 0.1395
5 Pt 0.5000 0.5000 0.8404
6 Pb 0.0000 0.0000 0.6581



Hf2SiPt2Pb: calculated X-ray powder pattern (Cu Kα (λ = 1.5418 Å)), based on the GGA-PBE geometry in OQMD.
Intensities are scaled so that the largest is 100.

Peak list (10 most intense, 10 to 90 degrees two-theta, low angle first)
2theta  I (rel.)
24.5  85
28.4  12
40.5  98
40.7  100
48.0  31
58.8  33
73.7  15
73.9  38
74.0  12
88.0  11

a b c (Å): 10.8758 4.4378 10.9189
angles (deg): 90.00 109.49 90.00
Fractional coordinates of all 24 atoms:
1 Hf 0.0000 0.0000 0.0000
2 Hf 0.1099 0.5000 0.3717
3 Hf 0.2349 0.0000 0.7413
4 Hf 0.3753 0.5000 0.1368
5 Hf 0.4945 0.0000 0.5003
6 Hf 0.6205 0.5000 0.8629
7 Hf 0.7433 0.0000 0.2573
8 Hf 0.8630 0.5000 0.6190
9 Si 0.2441 0.0000 0.2529
10 Si 0.6181 0.5000 0.3773
11 Si 0.7443 0.0000 0.7435
12 Si 0.9881 0.0000 0.4972
13 Pt 0.1333 0.5000 0.1382
14 Pt 0.2252 0.0000 0.4841
15 Pt 0.3670 0.5000 0.8721
16 Pt 0.4973 0.0000 0.2647
17 Pt 0.6249 0.5000 0.6187
18 Pt 0.7463 0.0000 0.9777
19 Pt 0.8621 0.5000 0.3810
20 Pt 0.9791 0.0000 0.7346
21 Pb 0.1160 0.5000 0.8746
22 Pb 0.3643 0.5000 0.6181
23 Pb 0.4973 0.0000 0.0023
24 Pb 0.8666 0.5000 0.1222



HfPbS3: calculated X-ray powder pattern (Cu Kα (λ = 1.5418 Å)), based on the GGA-PBE geometry in OQMD.
Intensities are scaled so that the largest is 100.

Peak list (10 most intense, 10 to 90 degrees two-theta, low angle first)
2theta  I (rel.)
15.9  54
21.3  100
23.2  40
28.6  64
30.1  31
30.8  42
31.4  97
33.3  44
40.0  57
46.2  72

a b c (Å): 9.1217 3.7691 14.0741
angles (deg): 90.00 90.00 90.00
Fractional coordinates of all 20 atoms:
1 Hf 0.1647 0.2500 0.0494
2 Hf 0.3353 0.7500 0.5494
3 Hf 0.6647 0.2500 0.4506
4 Hf 0.8353 0.7500 0.9506
5 Pb 0.0200 0.2500 0.6727
6 Pb 0.4800 0.7500 0.1727
7 Pb 0.5200 0.2500 0.8273
8 Pb 0.9800 0.7500 0.3273
9 S 0.0110 0.2500 0.8958
10 S 0.1708 0.2500 0.4902
11 S 0.2303 0.7500 0.7135
12 S 0.2697 0.2500 0.2135
13 S 0.3292 0.7500 0.9902
14 S 0.4890 0.7500 0.3958
15 S 0.5110 0.2500 0.6042
16 S 0.6708 0.2500 0.0098
17 S 0.7303 0.7500 0.7865
18 S 0.7697 0.2500 0.2865
19 S 0.8292 0.7500 0.5098
20 S 0.9890 0.7500 0.1042



Hf3PbS6: calculated X-ray powder pattern (Cu Kα (λ = 1.5418 Å)), based on the GGA-PBE geometry in OQMD.
Intensities are scaled so that the largest is 100.

Peak list (10 most intense, 10 to 90 degrees two-theta, low angle first)
2theta  I (rel.)
11.9  58
16.7  23
20.6  29
23.9  24
29.2  59
31.6  22
38.1  100
51.7  31
58.0  21
66.0  20

a b c (Å): 6.1216 6.1216 14.8942
angles (deg): 90.00 90.00 120.00
Fractional coordinates of all 20 atoms:
1 Hf 0.0000 0.0000 0.2500
2 Hf 0.0000 0.0000 0.7500
3 Hf 0.3333 0.6667 0.2500
4 Hf 0.3333 0.6667 0.7500
5 Hf 0.6667 0.3333 0.2500
6 Hf 0.6667 0.3333 0.7500
7 Pb 0.0000 0.0000 0.0000
8 Pb 0.0000 0.0000 0.5000
9 S 0.0000 0.3345 0.1443
10 S 0.0000 0.3345 0.3557
11 S 0.0000 0.6655 0.6443
12 S 0.0000 0.6655 0.8557
13 S 0.3345 0.0000 0.1443
14 S 0.3345 0.0000 0.3557
15 S 0.3345 0.3345 0.6443
16 S 0.3345 0.3345 0.8557
17 S 0.6655 0.0000 0.6443
18 S 0.6655 0.0000 0.8557
19 S 0.6655 0.6655 0.1443
20 S 0.6655 0.6655 0.3557



HfSb2Pb: calculated X-ray powder pattern (Cu Kα (λ = 1.5418 Å)), based on the GGA-PBE geometry in OQMD.
Intensities are scaled so that the largest is 100.

Peak list (10 most intense, 10 to 90 degrees two-theta, low angle first)
2theta  I (rel.)
20.6  6
34.0  100
40.1  3
48.8  18
53.5  2
60.8  38
65.0  1
71.5  12
75.4  1
81.6  17

a b c (Å): 7.4602 7.4602 7.4602
angles (deg): 90.00 90.00 90.00
Fractional coordinates of all 16 atoms:
1 Hf 0.0000 0.0000 0.0000
2 Hf 0.0000 0.5000 0.5000
3 Hf 0.5000 0.0000 0.5000
4 Hf 0.5000 0.5000 0.0000
5 Sb 0.0000 0.0000 0.5000
6 Sb 0.0000 0.5000 0.0000
7 Sb 0.2500 0.2500 0.2500
8 Sb 0.2500 0.7500 0.7500
9 Sb 0.5000 0.0000 0.0000
10 Sb 0.5000 0.5000 0.5000
11 Sb 0.7500 0.2500 0.7500
12 Sb 0.7500 0.7500 0.2500
13 Pb 0.2500 0.2500 0.7500
14 Pb 0.2500 0.7500 0.2500
15 Pb 0.7500 0.2500 0.2500
16 Pb 0.7500 0.7500 0.7500



Hf2Si2PdPt: calculated X-ray powder pattern (Cu Kα (λ = 1.5418 Å)), based on the GGA-PBE geometry in OQMD.
Intensities are scaled so that the largest is 100.

Peak list (10 most intense, 10 to 90 degrees two-theta, low angle first)
2theta  I (rel.)
12.6  1
25.4  88
29.4  3
42.1  100
49.8  44
61.0  17
67.2  18
69.2  1
76.9  34
82.5  14

a b c (Å): 7.4398 4.2951 14.2446
angles (deg): 90.00 100.02 90.00
Fractional coordinates of all 24 atoms:
1 Hf 0.0000 0.0000 0.0000
2 Hf 0.0014 0.5000 0.4992
3 Hf 0.2474 0.0000 0.7481
4 Hf 0.2494 0.5000 0.2488
5 Hf 0.4975 0.0000 0.4981
6 Hf 0.4999 0.5000 0.0001
7 Hf 0.7493 0.0000 0.2477
8 Hf 0.7513 0.5000 0.7482
9 Si 0.1243 0.0000 0.3736
10 Si 0.1247 0.5000 0.8740
11 Si 0.3746 0.0000 0.1244
12 Si 0.3746 0.5000 0.6236
13 Si 0.6245 0.0000 0.8737
14 Si 0.6246 0.5000 0.3736
15 Si 0.8742 0.0000 0.6232
16 Si 0.8748 0.5000 0.1242
17 Pd 0.0625 0.5000 0.6863
18 Pd 0.0627 0.0000 0.1869
19 Pd 0.3122 0.5000 0.4359
20 Pd 0.5619 0.5000 0.1872
21 Pt 0.3122 0.0000 0.9357
22 Pt 0.5616 0.0000 0.6865
23 Pt 0.8115 0.0000 0.4359
24 Pt 0.8115 0.5000 0.9358



Question: Which formula does entry 3 have?
Answer: HfZr3P4